Simulated powder XRD pattern of KTbSnCl6 for CuKα, from a GGA-PBE-relaxed structure.
Peak positions follow from Bragg's law for the DFT cell and can differ from measured ones.

Structure:
```
data_KTbSnCl6
_space_group_name_H-M_alt 'P -3 1 c'
_space_group_IT_number 163
_space_group_name_Hall '-P 3 2c'
_cell_length_a 7.2641
_cell_length_b 7.2641
_cell_length_c 13.4674
_cell_angle_alpha 90.00
_cell_angle_beta 90.00
_cell_angle_gamma 120.00
loop_
_atom_site_label
_atom_site_fract_x
_atom_site_fract_y
_atom_site_fract_z
K1 0.0000 0.0000 0.0000
Tb1 0.3333 0.6667 0.2500
Sn1 0.3333 0.6667 0.7500
Cl1 0.0202 0.3757 0.1372
```

Principal peaks in the range 15 to 90 degrees two-theta, low angle first:
hkl 1 0 2, 2θ 19.31, d 4.597, I 972; hkl 1 1 0, 2θ 24.51, d 3.632, I 359; hkl 1 1 2, 2θ 27.91, d 3.197, I 933; hkl 2 0 2, 2θ 31.39, d 2.850, I 252; hkl 1 1 4, 2θ 36.39, d 2.469, I 1000; hkl 2 1 2, 2θ 40.22, d 2.242, I 319; hkl 3 0 0, 2θ 43.14, d 2.097, I 446; hkl 3 0 2, 2θ 45.29, d 2.002, I 221; hkl 2 -1 6, 2θ 47.63, d 1.909, I 273; hkl 4 -2 4, 2θ 57.67, d 1.598, I 233; hkl 4 1 4, 2θ 74.67, d 1.271, I 208; hkl 5 -1 6, 2θ 82.33, d 1.171, I 177

***

Simulated powder XRD pattern of KTl2Sn2Cl7 for CuKα, from a GGA-PBE-relaxed structure.
Peak positions follow from Bragg's law for the DFT cell and can differ from measured ones.

Structure:
```
data_KTl2Sn2Cl7
_space_group_name_H-M_alt 'I m m 2'
_space_group_IT_number 44
_cell_length_a 5.5357
_cell_length_b 24.5554
_cell_length_c 6.3497
_cell_angle_alpha 90.00
_cell_angle_beta 90.00
_cell_angle_gamma 90.00
loop_
_space_group_symop_operation_xyz
'x,y,z'
'-x,-y,z'
'-x,y,z'
'x,-y,z'
'x+1/2,y+1/2,z+1/2'
'-x+1/2,-y+1/2,z+1/2'
'-x+1/2,y+1/2,z+1/2'
'x+1/2,-y+1/2,z+1/2'
loop_
_atom_site_label
_atom_site_fract_x
_atom_site_fract_y
_atom_site_fract_z
K1 0.0000 0.0000 0.0000
Tl1 0.0000 0.2895 0.5167
Sn1 0.0000 0.3925 0.0944
Cl1 0.0000 0.1022 0.6480
Cl2 0.0000 0.2716 0.9925
Cl3 0.0000 0.4158 0.7039
Cl4 0.0000 0.5000 0.2129
```

Principal peaks in the range 15 to 90 degrees two-theta, low angle first:
hkl 1 1 0, 2θ 16.41, d 5.400, I 543; hkl 1 3 0, 2θ 19.36, d 4.585, I 619; hkl 1 2 1, 2θ 22.51, d 3.951, I 713; hkl 0 5 1, 2θ 22.89, d 3.885, I 1000; hkl 0 0 2, 2θ 28.11, d 3.175, I 352; hkl 0 2 2, 2θ 29.06, d 3.072, I 461; hkl 1 7 0, 2θ 30.16, d 2.963, I 353; hkl 2 0 0, 2θ 32.34, d 2.768, I 518; hkl 1 3 2, 2θ 34.36, d 2.610, I 367; hkl 2 5 1, 2θ 40.00, d 2.254, I 481; hkl 2 2 2, 2θ 44.03, d 2.056, I 296; hkl 2 10 0, 2θ 49.62, d 1.837, I 299

***

Simulated powder XRD pattern of K2Tl2SnCl6 for CuKα, from a GGA-PBE-relaxed structure.
Peak positions follow from Bragg's law for the DFT cell and can differ from measured ones.

Structure:
```
data_K2Tl2SnCl6
_space_group_name_H-M_alt 'C 1 2/m 1'
_space_group_IT_number 12
_cell_length_a 7.9400
_cell_length_b 13.1280
_cell_length_c 7.7931
_cell_angle_alpha 90.00
_cell_angle_beta 109.60
_cell_angle_gamma 90.00
loop_
_space_group_symop_operation_xyz
'x,y,z'
'-x,-y,-z'
'-x,y,-z'
'x,-y,z'
'x+1/2,y+1/2,z'
'-x+1/2,-y+1/2,-z'
'-x+1/2,y+1/2,-z'
'x+1/2,-y+1/2,z'
loop_
_atom_site_label
_atom_site_fract_x
_atom_site_fract_y
_atom_site_fract_z
K1 0.0000 0.1602 0.0000
Tl1 0.0000 0.3230 0.5000
Sn1 0.0000 0.5000 0.0000
Cl1 0.2174 0.5000 0.7702
Cl2 0.2238 0.3417 0.2208
```

Principal peaks in the range 15 to 90 degrees two-theta, low angle first:
hkl 0 2 1, 2θ 18.13, d 4.893, I 470; hkl 2 0 0, 2θ 23.79, d 3.740, I 179; hkl 0 0 2, 2θ 24.25, d 3.671, I 170; hkl 1 3 -1, 2θ 24.61, d 3.617, I 304; hkl 2 0 -2, 2θ 27.77, d 3.213, I 580; hkl 1 3 1, 2θ 28.34, d 3.149, I 1000; hkl 2 0 2, 2θ 39.75, d 2.268, I 206; hkl 3 3 -1, 2θ 39.80, d 2.265, I 373; hkl 1 3 -3, 2θ 40.38, d 2.234, I 361; hkl 0 6 0, 2θ 41.26, d 2.188, I 166; hkl 2 6 -2, 2θ 50.49, d 1.808, I 287; hkl 3 3 -5, 2θ 65.64, d 1.422, I 165

***

Simulated powder XRD pattern of K5SrCl7 for CuKα, from a GGA-PBE-relaxed structure.
Peak positions follow from Bragg's law for the DFT cell and can differ from measured ones.

Structure:
```
data_K5SrCl7
_space_group_name_H-M_alt 'C 1 m 1'
_space_group_IT_number 8
_cell_length_a 15.0581
_cell_length_b 4.2527
_cell_length_c 26.0978
_cell_angle_alpha 90.00
_cell_angle_beta 90.11
_cell_angle_gamma 90.00
loop_
_space_group_symop_operation_xyz
'x,y,z'
'x,-y,z'
'x+1/2,y+1/2,z'
'x+1/2,-y+1/2,z'
loop_
_atom_site_label
_atom_site_fract_x
_atom_site_fract_y
_atom_site_fract_z
K1 0.0000 0.0000 0.0000
K2 0.0003 0.0000 0.1999
K3 0.1742 0.0000 0.7769
K4 0.1756 0.0000 0.4226
K5 0.2321 0.5000 0.9227
K6 0.2328 0.5000 0.2770
K7 0.4064 0.5000 0.6997
K8 0.4080 0.5000 0.4998
K9 0.4530 0.0000 0.8501
K10 0.4543 0.0000 0.3500
Sr1 0.1611 0.5000 0.5989
Sr2 0.2462 0.0000 0.0999
Cl1 0.0274 0.0000 0.5999
Cl2 0.0396 0.5000 0.7378
Cl3 0.0423 0.5000 0.4632
Cl4 0.0900 0.0000 0.8891
Cl5 0.0907 0.0000 0.3107
Cl6 0.1550 0.5000 0.0341
Cl7 0.1553 0.5000 0.1657
Cl8 0.2515 0.0000 0.6654
Cl9 0.2529 0.0000 0.5338
Cl10 0.3163 0.5000 0.8107
Cl11 0.3176 0.5000 0.3891
Cl12 0.3661 0.0000 0.9626
Cl13 0.3667 0.0000 0.2373
Cl14 0.3799 0.5000 0.0999
```

Principal peaks in the range 15 to 90 degrees two-theta, low angle first:
hkl 2 0 -6, 2θ 23.62, d 3.766, I 365; hkl 2 0 7, 2θ 26.68, d 3.341, I 683; hkl 3 1 2, 2θ 28.34, d 3.149, I 992; hkl 3 1 -3, 2θ 29.38, d 3.040, I 1000; hkl 3 1 -5, 2θ 32.49, d 2.756, I 287; hkl 1 1 -9, 2θ 38.02, d 2.367, I 237; hkl 1 1 9, 2θ 38.04, d 2.365, I 247; hkl 5 1 4, 2θ 39.17, d 2.300, I 432; hkl 6 0 -5, 2θ 39.86, d 2.262, I 345; hkl 5 1 5, 2θ 40.57, d 2.224, I 216; hkl 1 1 -10, 2θ 41.02, d 2.200, I 265; hkl 0 2 0, 2θ 42.51, d 2.126, I 364